Starting from a cell relaxed with GGA-PBE, the powder XRD pattern of Pm4NdSm2 was computed for CuKα.
Peak positions follow from Bragg's law for the DFT cell and can differ from measured ones.

Most intense lines, 2θ from 10° to 90°, by intensity:
d = 2.705 Å, intensity 1000
d = 2.885 Å, intensity 785
d = 2.940 Å, intensity 494
d = 3.250 Å, intensity 332
d = 1.545 Å, intensity 271
d = 1.522 Å, intensity 245

Structural model:
```
data_Pm4NdSm2
_chemical_formula_sum 'Pm8 Nd2 Sm4'
_cell_length_a 3.583
_cell_length_b 5.880
_cell_length_c 23.177
_cell_angle_alpha 90.00
_cell_angle_beta 90.00
_cell_angle_gamma 90.00
_space_group_name_H-M_alt 'I m m m'
_space_group_IT_number 71
_space_group_name_Hall '-I 2 2'
loop_
_atom_site_label
_atom_site_type_symbol
_atom_site_fract_x
_atom_site_fract_y
_atom_site_fract_z
Pm1 Pm 0.000 0.000 0.085
Pm2 Pm 0.000 0.000 0.363
Nd1 Nd 0.000 0.500 0.000
Sm1 Sm 0.000 0.500 0.276
```